Record 1
The following is a simulated powder XRD pattern of LiBO2. It was derived from DFT lattice parameters and positions (GGA-PBE), using a wavelength of 1.5418 Å.
Peak positions follow from Bragg's law for the DFT cell and can differ from measured ones.

Cell and atoms:
a = 5.758 Å, b = 4.397 Å, c = 6.708 Å
α = 90.00°, β = 110.62°, γ = 90.00°
Sites, in units of the cell vectors:
Li 0.061 0.218 0.146
Li 0.061 0.282 0.646
Li 0.939 0.718 0.354
Li 0.939 0.782 0.854
B 0.374 0.679 0.222
B 0.374 0.821 0.722
B 0.626 0.179 0.278
B 0.626 0.321 0.778
O 0.140 0.724 0.668
O 0.140 0.776 0.168
O 0.414 0.139 0.735
O 0.414 0.361 0.235
O 0.586 0.639 0.765
O 0.586 0.861 0.265
O 0.860 0.224 0.832
O 0.860 0.276 0.332

Largest 6 diffraction maxima, by angle, 2θ = 5–70°:
d (Å)	two_theta	I (rel.)
3.407	26.16	21
3.257	27.38	83
3.139	28.43	100
2.297	39.21	17
2.198	41.06	22
1.673	54.86	19



Record 2
The following is a simulated powder XRD pattern of Li3B7O12. It was derived from DFT lattice parameters and positions (GGA-PBE), using a wavelength of 1.5418 Å.
Peak positions follow from Bragg's law for the DFT cell and can differ from measured ones.

Cell and atoms:
a = 6.562 Å, b = 7.990 Å, c = 8.631 Å
α = 91.31°, β = 104.73°, γ = 99.10°
Sites, in units of the cell vectors:
Li 0.011 0.305 0.183
Li 0.221 0.803 0.533
Li 0.483 0.922 0.196
Li 0.517 0.078 0.804
Li 0.779 0.197 0.467
Li 0.989 0.695 0.817
B 0.042 0.707 0.191
B 0.095 0.040 0.701
B 0.215 0.141 0.991
B 0.246 0.130 0.459
B 0.269 0.504 0.769
B 0.383 0.571 0.214
B 0.438 0.273 0.271
B 0.562 0.727 0.729
B 0.617 0.429 0.786
B 0.731 0.496 0.231
B 0.754 0.870 0.541
B 0.785 0.859 0.009
B 0.905 0.960 0.299
B 0.958 0.293 0.809
O 0.035 0.827 0.320
O 0.047 0.131 0.350
O 0.060 0.241 0.970
O 0.067 0.467 0.786
O 0.228 0.034 0.867
O 0.260 0.058 0.605
O 0.269 0.701 0.195
O 0.312 0.411 0.252
O 0.332 0.661 0.716
O 0.360 0.139 0.138
O 0.411 0.390 0.807
O 0.434 0.195 0.424
O 0.566 0.805 0.576
O 0.589 0.610 0.193
O 0.640 0.861 0.862
O 0.668 0.339 0.284
O 0.688 0.589 0.748
O 0.731 0.299 0.805
O 0.740 0.942 0.395
O 0.772 0.966 0.133
O 0.933 0.533 0.214
O 0.940 0.759 0.030
O 0.953 0.869 0.650
O 0.965 0.173 0.680

Largest 6 diffraction maxima, by angle, 2θ = 5–70°:
d (Å)	two_theta	I (rel.)
5.360	16.54	60
4.430	20.04	41
4.166	21.33	100
3.585	24.84	93
3.097	28.83	32
2.771	32.31	26